# LiV3OF11
Calculated XRD peak list, λ = 1.5418 Å (Cu Kα). Input: DFT lattice parameters and positions (GGA+U).
Lines closer than 0.1° are merged.

Peak list (12 most intense, 10 to 90 degrees two-theta, by angle)
hkl 3 0 0, 17.42 deg, d 5.092, I = 71.5; hkl 2 1 -1, 25.41 deg, d 3.505, I = 100.0; hkl 1 0 -2, 33.33 deg, d 2.688, I = 11.3; hkl 6 0 0, 35.25 deg, d 2.546, I = 7.9; hkl 6 1 0, 39.43 deg, d 2.286, I = 9.1; hkl 1 2 1, 39.57 deg, d 2.277, I = 15.3; hkl 4 1 -2, 41.81 deg, d 2.161, I = 9.4; hkl 1 2 -2, 48.78 deg, d 1.867, I = 13.9; hkl 7 1 1, 51.08 deg, d 1.788, I = 15.0; hkl 2 2 2, 52.19 deg, d 1.753, I = 11.1; hkl 3 1 -3, 54.95 deg, d 1.671, I = 14.8; hkl 5 3 -1, 62.73 deg, d 1.481, I = 7.8

Cell and atoms:
a b c (Å): 15.5073 5.1880 5.3768
angles (deg): 90.00 99.93 90.00
Space group Pc (No. 7)
Asymmetric unit:
Li 0.0000 0.2116 0.0000
V 0.2337 0.2489 0.2078
V 0.5606 0.2500 0.8718
V 0.8868 0.2787 0.4998
O 0.9210 0.4392 0.2449
F 0.0027 0.1365 0.6344
F 0.1176 0.3343 0.1277
F 0.2062 0.0626 0.5018
F 0.2551 0.4370 0.9084
F 0.3440 0.1550 0.2832
F 0.4492 0.3432 0.7964
F 0.5342 0.0614 0.1661
F 0.5856 0.4378 0.5767
F 0.6710 0.1560 0.9490
F 0.7734 0.3362 0.4751
F 0.8689 0.0558 0.8259